Computed XRD peak list of PdRhSe for λ = 1.5418 Å (Cu Kα), from a structure optimized by DFT (GGA-PBE).
Kinematic intensities with the Lorentz-polarization factor, no thermal factor.

Principal peaks in the range 2θ from 5° to 70°, in order of rising 2θ:
2θ 12.6, rel. 36
2θ 26.2, rel. 28
2θ 28.5, rel. 52
2θ 33.1, rel. 38
2θ 37.5, rel. 42
2θ 39.4, rel. 99
2θ 40.9, rel. 33
2θ 42.7, rel. 62
2θ 45.3, rel. 100
2θ 52.2, rel. 48

Atomic structure:
```
PdRhSe
1.0
7.0487 -1.7520 0.0000
7.0487 1.7520 0.0000
-0.7282 0.0000 8.4780
Pd Rh Se
4 4 4
direct
0.0333 0.0333 0.3450
0.3945 0.3945 0.1667
0.6055 0.6055 0.8333
0.9667 0.9667 0.6550
0.2375 0.2375 0.3673
0.2725 0.2725 0.8843
0.7275 0.7275 0.1157
0.7625 0.7625 0.6327
0.1125 0.1125 0.0991
0.1405 0.1405 0.6031
0.8595 0.8595 0.3969
0.8875 0.8875 0.9009
```


Computed XRD peak list of Pd5RhSe12 for λ = 1.5418 Å (Cu Kα), from a structure optimized by DFT (GGA-PBE).
Kinematic intensities with the Lorentz-polarization factor, no thermal factor.

Principal peaks in the range 2θ from 5° to 70°, in order of rising 2θ:
2θ 16.8, rel. 85
2θ 28.5, rel. 32
2θ 32.1, rel. 29
2θ 32.2, rel. 100
2θ 37.6, rel. 86
2θ 44.0, rel. 40
2θ 48.3, rel. 29
2θ 48.9, rel. 78
2θ 51.5, rel. 33
2θ 59.7, rel. 22

Atomic structure:
```
Pd5RhSe12
1.0
3.2847 -5.6531 0.0000
3.2847 5.6531 0.0000
-0.0075 0.0000 10.5581
Pd Rh Se
5 1 12
direct
0.0000 0.0000 0.0000
0.1664 0.8336 0.5000
0.3333 0.6667 0.0000
0.6667 0.3333 0.0000
0.8336 0.1664 0.5000
0.5000 0.5000 0.5000
0.0033 0.3354 0.1227
0.1678 0.4968 0.6204
0.1724 0.1724 0.3783
0.3304 0.3304 0.8767
0.3354 0.0033 0.1227
0.4968 0.1678 0.6204
0.5032 0.8322 0.3796
0.6646 0.9967 0.8773
0.6696 0.6696 0.1233
0.8276 0.8276 0.6217
0.8322 0.5032 0.3796
0.9967 0.6646 0.8773
```


Computed XRD peak list of Sm4PdRh2 for λ = 1.5418 Å (Cu Kα), from a structure optimized by DFT (GGA-PBE).
Kinematic intensities with the Lorentz-polarization factor, no thermal factor.

Principal peaks in the range 2θ from 5° to 70°, in order of rising 2θ:
2θ 28.6, rel. 17
2θ 32.0, rel. 100
2θ 32.2, rel. 49
2θ 38.1, rel. 55
2θ 38.3, rel. 21
2θ 50.6, rel. 12
2θ 52.7, rel. 17
2θ 52.9, rel. 12
2θ 53.0, rel. 15
2θ 65.0, rel. 16

Atomic structure:
```
Sm4PdRh2
1.0
-4.4267 4.4267 4.3875
4.4267 -4.4267 4.3875
4.4267 4.4267 -4.3875
Sm Pd Rh
8 2 4
direct
0.0091 0.3828 0.2521
0.1307 0.7571 0.7479
0.1328 0.2591 0.7521
0.2429 0.9909 0.3736
0.5071 0.3807 0.2479
0.6172 0.8693 0.6264
0.6193 0.8672 0.1264
0.7409 0.4929 0.8736
0.0000 0.0000 0.0000
0.7500 0.2500 0.5000
0.2463 0.6250 0.1213
0.3750 0.4963 0.6213
0.5037 0.1250 0.8787
0.8750 0.7537 0.3787
```


Computed XRD peak list of Sm4PdRh3 for λ = 1.5418 Å (Cu Kα), from a structure optimized by DFT (GGA-PBE).
Kinematic intensities with the Lorentz-polarization factor, no thermal factor.

Principal peaks in the range 2θ from 5° to 70°, in order of rising 2θ:
2θ 32.1, rel. 100
2θ 33.1, rel. 32
2θ 34.0, rel. 22
2θ 39.2, rel. 20
2θ 40.0, rel. 60
2θ 41.5, rel. 28
2θ 47.1, rel. 19
2θ 54.1, rel. 16
2θ 54.7, rel. 14
2θ 64.6, rel. 15

Atomic structure:
```
Sm4PdRh3
1.0
3.8601 0.0000 0.0000
0.0000 4.3496 0.0000
0.0000 0.0000 10.8193
Sm Pd Rh
4 1 3
direct
0.0000 0.0000 0.0000
0.0000 0.5000 0.2727
0.5000 0.0000 0.4889
0.5000 0.5000 0.7746
0.0000 0.0000 0.7170
0.0000 0.5000 0.5474
0.5000 0.0000 0.2201
0.5000 0.5000 0.0419
```